Entry 1:
For Pr2Er2CCl5, the GGA-PBE geometry in OQMD gives the simulated powder X-ray diffraction pattern in this record (CuKα).
Intensities are scaled so that the largest is 100.

Main lines, most intense first (2θ = 10–80°):
2θ/deg, I_rel
31.92, 100
10.97, 96
35.53, 29
10.51, 27
28.26, 24
31.66, 20
46.15, 17
45.33, 17
40.44, 16
21.61, 16
43.86, 14
26.48, 13

Structural model:
Unit cell a=8.831 b=8.831 c=8.258 alpha=102.11 beta=102.11 gamma=24.97
Fractional coordinates of all 10 atoms:
Pr (0.002, 0.002, 0.286)
Pr (0.998, 0.998, 0.714)
Er (0.359, 0.359, 0.428)
Er (0.641, 0.641, 0.572)
C (0.500, 0.500, 0.500)
Cl (0.169, 0.169, 0.806)
Cl (0.177, 0.177, 0.362)
Cl (0.500, 0.500, 0.000)
Cl (0.823, 0.823, 0.638)
Cl (0.831, 0.831, 0.194)

Entry 2:
For ErTmC2Cl2, the GGA-PBE geometry in OQMD gives the simulated powder X-ray diffraction pattern in this record (CuKα).
Intensities are scaled so that the largest is 100.

Main lines, most intense first (2θ = 10–80°):
2θ/deg, I_rel
33.24, 100
29.82, 77
28.53, 61
38.77, 59
27.64, 52
31.80, 41
47.19, 39
43.25, 36
50.53, 36
25.34, 30
32.79, 28
34.00, 26

Structural model:
Unit cell a=3.874 b=3.874 c=10.600 alpha=95.12 beta=95.12 gamma=56.52
Fractional coordinates of all 6 atoms:
Er (0.000, 0.000, 0.000)
Tm (0.292, 0.292, 0.276)
C (0.572, 0.572, 0.176)
C (0.720, 0.720, 0.102)
Cl (0.325, 0.325, 0.838)
Cl (0.966, 0.966, 0.436)

Entry 3:
For Y2Er2CCl5, the GGA-PBE geometry in OQMD gives the simulated powder X-ray diffraction pattern in this record (CuKα).
Intensities are scaled so that the largest is 100.

Main lines, most intense first (2θ = 10–80°):
2θ/deg, I_rel
10.74, 100
33.60, 91
11.81, 58
47.53, 55
32.62, 47
36.50, 31
29.11, 28
24.67, 28
28.32, 23
23.74, 21
35.88, 20
43.00, 19

Structural model:
Unit cell a=8.660 b=8.660 c=7.698 alpha=102.93 beta=102.93 gamma=24.66
Fractional coordinates of all 10 atoms:
Y (0.145, 0.145, 0.080)
Y (0.855, 0.855, 0.920)
Er (0.499, 0.499, 0.210)
Er (0.501, 0.501, 0.790)
C (0.000, 0.000, 0.000)
Cl (0.000, 0.000, 0.500)
Cl (0.329, 0.329, 0.169)
Cl (0.338, 0.338, 0.656)
Cl (0.662, 0.662, 0.344)
Cl (0.671, 0.671, 0.831)

Entry 4:
For PH20IrC16N2Cl2O2F6, the GGA-PBE geometry in OQMD gives the simulated powder X-ray diffraction pattern in this record (CuKα).
Intensities are scaled so that the largest is 100.

Main lines, most intense first (2θ = 10–80°):
2θ/deg, I_rel
16.33, 100
16.48, 94
12.90, 89
11.54, 85
17.77, 73
15.58, 63
23.78, 58
19.90, 52
11.09, 51
22.23, 48
32.79, 40
12.53, 38

Structural model:
Unit cell a=7.695 b=7.759 c=8.745 alpha=113.95 beta=91.36 gamma=93.83
Fractional coordinates of all 50 atoms:
P (0.000, 0.000, 0.000)
H (0.017, 0.697, 0.430)
H (0.055, 0.270, 0.751)
H (0.110, 0.490, 0.735)
H (0.126, 0.017, 0.373)
H (0.169, 0.584, 0.020)
H (0.201, 0.967, 0.546)
H (0.212, 0.446, 0.232)
H (0.314, 0.135, 0.835)
H (0.351, 0.997, 0.405)
H (0.411, 0.796, 0.986)
H (0.589, 0.204, 0.014)
H (0.649, 0.003, 0.595)
H (0.686, 0.865, 0.165)
H (0.788, 0.554, 0.768)
H (0.799, 0.033, 0.454)
H (0.831, 0.416, 0.980)
H (0.874, 0.983, 0.627)
H (0.890, 0.510, 0.265)
H (0.945, 0.730, 0.249)
H (0.983, 0.303, 0.570)
Ir (0.500, 0.500, 0.500)
C (0.090, 0.336, 0.665)
C (0.231, 0.044, 0.468)
C (0.256, 0.257, 0.578)
C (0.290, 0.617, 0.096)
C (0.310, 0.542, 0.214)
C (0.410, 0.300, 0.702)
C (0.422, 0.225, 0.822)
C (0.425, 0.735, 0.078)
C (0.575, 0.265, 0.922)
C (0.578, 0.775, 0.178)
C (0.590, 0.700, 0.298)
C (0.690, 0.458, 0.786)
C (0.710, 0.383, 0.904)
C (0.744, 0.743, 0.422)
C (0.769, 0.956, 0.532)
C (0.910, 0.664, 0.335)
N (0.457, 0.586, 0.313)
N (0.543, 0.414, 0.687)
Cl (0.365, 0.758, 0.682)
Cl (0.635, 0.242, 0.318)
O (0.288, 0.347, 0.466)
O (0.712, 0.653, 0.534)
F (0.012, 0.772, 0.942)
F (0.055, 0.981, 0.815)
F (0.205, 0.040, 0.065)
F (0.795, 0.960, 0.935)
F (0.945, 0.019, 0.185)
F (0.988, 0.228, 0.058)

Entry 5:
For Ho4CCl2F3, the GGA-PBE geometry in OQMD gives the simulated powder X-ray diffraction pattern in this record (CuKα).
Intensities are scaled so that the largest is 100.

Main lines, most intense first (2θ = 10–80°):
2θ/deg, I_rel
37.02, 100
31.12, 76
13.43, 66
51.93, 53
35.38, 51
25.18, 50
36.15, 50
11.87, 45
28.84, 43
31.64, 40
39.33, 36
41.10, 33

Structural model:
Unit cell a=7.788 b=7.788 c=6.709 alpha=100.37 beta=100.37 gamma=26.14
Fractional coordinates of all 10 atoms:
Ho (0.021, 0.021, 0.269)
Ho (0.345, 0.345, 0.380)
Ho (0.655, 0.655, 0.620)
Ho (0.979, 0.979, 0.731)
C (0.500, 0.500, 0.500)
Cl (0.156, 0.156, 0.920)
Cl (0.844, 0.844, 0.080)
F (0.184, 0.184, 0.403)
F (0.500, 0.500, 0.000)
F (0.816, 0.816, 0.597)

Entry 6:
For Nd4CICl2F2, the GGA-PBE geometry in OQMD gives the simulated powder X-ray diffraction pattern in this record (CuKα).
Intensities are scaled so that the largest is 100.

Main lines, most intense first (2θ = 10–80°):
2θ/deg, I_rel
30.73, 100
10.71, 53
36.29, 38
11.92, 37
33.37, 37
28.90, 35
47.04, 30
22.60, 27
18.63, 26
29.22, 23
49.48, 22
32.51, 20

Structural model:
Unit cell a=8.151 b=8.151 c=8.806 alpha=109.66 beta=109.66 gamma=27.57
Fractional coordinates of all 10 atoms:
Nd (0.004, 0.004, 0.307)
Nd (0.335, 0.335, 0.402)
Nd (0.665, 0.665, 0.598)
Nd (0.996, 0.996, 0.693)
C (0.500, 0.500, 0.500)
I (0.500, 0.500, 0.000)
Cl (0.189, 0.189, 0.835)
Cl (0.811, 0.811, 0.165)
F (0.176, 0.176, 0.428)
F (0.824, 0.824, 0.572)

Entry 7:
For La2Sm2CCl2F3, the GGA-PBE geometry in OQMD gives the simulated powder X-ray diffraction pattern in this record (CuKα).
Intensities are scaled so that the largest is 100.

Main lines, most intense first (2θ = 10–80°):
2θ/deg, I_rel
35.61, 100
30.40, 91
36.86, 68
27.72, 43
23.26, 41
29.75, 36
44.35, 35
47.34, 34
11.72, 26
26.51, 25
35.39, 25
50.32, 23

Structural model:
Unit cell a=8.129 b=8.129 c=7.056 alpha=107.16 beta=107.16 gamma=25.78
Fractional coordinates of all 10 atoms:
La (0.170, 0.170, 0.170)
La (0.830, 0.830, 0.830)
Sm (0.479, 0.479, 0.226)
Sm (0.521, 0.521, 0.774)
C (0.000, 0.000, 0.000)
Cl (0.346, 0.346, 0.521)
Cl (0.654, 0.654, 0.479)
F (0.000, 0.000, 0.500)
F (0.320, 0.320, 0.079)
F (0.680, 0.680, 0.921)

Entry 8:
For Nd2Sm2C2Cl3F2, the GGA-PBE geometry in OQMD gives the simulated powder X-ray diffraction pattern in this record (CuKα).
Intensities are scaled so that the largest is 100.

Main lines, most intense first (2θ = 10–80°):
2θ/deg, I_rel
33.06, 100
11.85, 92
31.01, 63
28.09, 57
17.55, 41
28.96, 41
45.28, 39
46.63, 38
28.34, 30
27.30, 27
10.22, 23
32.12, 21

Structural model:
Unit cell a=9.146 b=9.146 c=7.720 alpha=104.39 beta=104.39 gamma=24.02
Fractional coordinates of all 11 atoms:
Nd (0.004, 0.004, 0.215)
Nd (0.996, 0.996, 0.785)
Sm (0.330, 0.330, 0.899)
Sm (0.670, 0.670, 0.101)
C (0.459, 0.459, 0.976)
C (0.541, 0.541, 0.024)
Cl (0.170, 0.170, 0.363)
Cl (0.500, 0.500, 0.500)
Cl (0.830, 0.830, 0.637)
F (0.192, 0.192, 0.937)
F (0.808, 0.808, 0.063)

Entry 9:
For Nd2Sm2C2Cl2F3, the GGA-PBE geometry in OQMD gives the simulated powder X-ray diffraction pattern in this record (CuKα).
Intensities are scaled so that the largest is 100.

Main lines, most intense first (2θ = 10–80°):
2θ/deg, I_rel
29.35, 100
28.87, 94
37.27, 87
27.51, 72
35.89, 71
33.57, 71
30.54, 71
43.29, 69
22.92, 60
49.03, 45
45.69, 43
13.46, 37

Structural model:
Unit cell a=8.478 b=8.478 c=6.796 alpha=104.17 beta=104.17 gamma=25.23
Fractional coordinates of all 11 atoms:
Nd (0.019, 0.019, 0.273)
Nd (0.981, 0.981, 0.727)
Sm (0.320, 0.320, 0.324)
Sm (0.680, 0.680, 0.676)
C (0.456, 0.456, 0.455)
C (0.544, 0.544, 0.545)
Cl (0.157, 0.157, 0.974)
Cl (0.843, 0.843, 0.026)
F (0.189, 0.189, 0.452)
F (0.500, 0.500, 0.000)
F (0.811, 0.811, 0.548)

Entry 10:
For Pr4CCl3F2, the GGA-PBE geometry in OQMD gives the simulated powder X-ray diffraction pattern in this record (CuKα).
Intensities are scaled so that the largest is 100.

Main lines, most intense first (2θ = 10–80°):
2θ/deg, I_rel
11.37, 100
31.94, 90
28.86, 42
34.75, 39
47.24, 30
32.94, 30
48.58, 28
22.50, 25
27.38, 22
28.46, 22
47.02, 18
29.15, 18

Structural model:
Unit cell a=8.317 b=8.317 c=8.141 alpha=106.31 beta=106.31 gamma=26.87
Fractional coordinates of all 10 atoms:
Pr (0.008, 0.008, 0.290)
Pr (0.340, 0.340, 0.400)
Pr (0.660, 0.660, 0.600)
Pr (0.992, 0.992, 0.710)
C (0.500, 0.500, 0.500)
Cl (0.176, 0.176, 0.856)
Cl (0.500, 0.500, 0.000)
Cl (0.824, 0.824, 0.144)
F (0.176, 0.176, 0.414)
F (0.824, 0.824, 0.586)

Entry 11:
For Sm4C2Cl2F3, the GGA-PBE geometry in OQMD gives the simulated powder X-ray diffraction pattern in this record (CuKα).
Intensities are scaled so that the largest is 100.

Main lines, most intense first (2θ = 10–80°):
2θ/deg, I_rel
29.63, 100
37.62, 90
33.48, 75
43.72, 74
36.30, 71
27.88, 66
30.60, 56
28.94, 54
22.86, 52
49.17, 47
45.78, 39
13.58, 37

Structural model:
Unit cell a=8.501 b=8.501 c=6.744 alpha=104.42 beta=104.42 gamma=24.78
Fractional coordinates of all 11 atoms:
Sm (0.017, 0.017, 0.274)
Sm (0.320, 0.320, 0.325)
Sm (0.680, 0.680, 0.675)
Sm (0.983, 0.983, 0.726)
C (0.456, 0.456, 0.456)
C (0.544, 0.544, 0.544)
Cl (0.156, 0.156, 0.976)
Cl (0.844, 0.844, 0.024)
F (0.187, 0.187, 0.443)
F (0.500, 0.500, 0.000)
F (0.813, 0.813, 0.557)

Entry 12:
For Sm4CCl4F, the GGA-PBE geometry in OQMD gives the simulated powder X-ray diffraction pattern in this record (CuKα).
Intensities are scaled so that the largest is 100.

Main lines, most intense first (2θ = 10–80°):
2θ/deg, I_rel
34.32, 100
12.26, 68
28.99, 66
31.87, 51
10.50, 43
47.72, 33
47.34, 27
32.98, 24
60.08, 23
27.14, 23
36.11, 23
35.86, 22

Structural model:
Unit cell a=8.839 b=8.839 c=7.410 alpha=102.69 beta=102.69 gamma=24.07
Fractional coordinates of all 10 atoms:
Sm (0.002, 0.002, 0.266)
Sm (0.354, 0.354, 0.414)
Sm (0.646, 0.646, 0.586)
Sm (0.998, 0.998, 0.734)
C (0.500, 0.500, 0.500)
Cl (0.162, 0.162, 0.867)
Cl (0.171, 0.171, 0.321)
Cl (0.829, 0.829, 0.679)
Cl (0.838, 0.838, 0.133)
F (0.500, 0.500, 0.000)